Structure and computed powder diffractogram of Li2MnVP3O12 (a crystal structure in Alexandria, relaxed with GGA+U; Cu Kα (λ = 1.5418 Å)).

Crystal structure
Unit cell a=8.256 b=8.461 c=8.822 alpha=117.68 beta=90.34 gamma=117.97
Fractional positions:
1 Li 0.085 0.414 0.148
2 Li 0.337 0.073 0.142
3 Li 0.663 0.927 0.858
4 Li 0.915 0.586 0.852
5 Mn 0.352 0.701 0.056
6 Mn 0.648 0.299 0.944
7 V 0.144 0.281 0.435
8 V 0.856 0.719 0.565
9 P 0.042 0.793 0.247
10 P 0.244 0.774 0.749
11 P 0.467 0.502 0.250
12 P 0.533 0.498 0.750
13 P 0.756 0.226 0.251
14 P 0.958 0.207 0.753
15 O 0.009 0.188 0.581
16 O 0.092 0.824 0.715
17 O 0.133 0.366 0.917
18 O 0.137 0.015 0.268
19 O 0.189 0.561 0.587
20 O 0.193 0.726 0.223
21 O 0.209 0.757 0.919
22 O 0.265 0.385 0.270
23 O 0.382 0.372 0.567
24 O 0.448 0.949 0.792
25 O 0.490 0.656 0.196
26 O 0.493 0.321 0.112
27 O 0.507 0.679 0.888
28 O 0.510 0.344 0.804
29 O 0.552 0.051 0.208
30 O 0.618 0.628 0.433
31 O 0.735 0.615 0.730
32 O 0.791 0.243 0.081
33 O 0.807 0.274 0.777
34 O 0.811 0.439 0.413
35 O 0.863 0.985 0.732
36 O 0.867 0.634 0.083
37 O 0.908 0.176 0.285
38 O 0.991 0.812 0.419

Principal peaks in the range 2θ from 5° to 70°, sorted by position:
2theta  I_rel  hkl
14.0  85  0 1 0
14.8  100  1 -1 1
19.7  85  1 0 1
20.0  71  -1 1 1
20.2  57  0 1 -2
23.4  70  1 1 0
23.8  77  1 -2 0
24.3  66  1 1 -2
24.6  90  2 -1 1
28.1  63  0 2 0
29.8  53  2 -2 2
32.3  61  1 1 -3